The following is a simulated powder X-ray diffraction pattern of CaMnP4O12. It was derived from the GGA+U geometry in the Materials Project, using Cu Kα (weighted mean of Kα1 and Kα2).
Neutral-atom scattering factors, no anomalous dispersion.

The 8 most intense peaks (2θ = 5–70°), by angle:
Position (°2θ), Rel. int.
13.58, 40
18.32, 34
19.74, 35
23.80, 22
24.89, 26
26.52, 29
28.08, 100
32.86, 22

Cell and atoms:
```
36
Lattice="6.2237 -4.4011 0.0000 6.2237 4.4011 0.0000 -5.0589 0.0000 9.1879" Properties=species:S:1:pos:R:3 pbc="T T T"
Ca 2.4295 4.0366 6.8909
Ca 4.9589 -4.0366 2.2970
Mn 0.5824 2.2005 4.5939
Mn 3.1118 -2.2005 0.0000
P 6.0416 1.9946 0.1863
P 3.8763 1.9946 4.4076
P -0.2138 0.0730 7.4220
P 2.3156 -0.0730 2.8280
P 5.0728 0.0730 6.3599
P 7.6023 -0.0730 1.7659
P 3.5121 -1.9946 4.7803
P 1.3468 -1.9946 9.0016
O 5.4112 3.1950 0.7854
O 1.0041 0.6604 3.0468
O 4.5067 3.1950 3.8085
O 2.6546 2.2001 5.2894
O 0.0587 0.6529 6.0809
O -0.1644 1.2199 8.5611
O -1.5253 -0.6604 7.6407
O 2.2043 2.2001 8.4925
O 3.5319 0.9106 3.2246
O 2.5881 -0.6529 1.4869
O 6.3860 0.9106 1.3694
O 5.0233 1.2199 5.2208
O 2.3651 -1.2199 3.9671
O 1.0024 -0.9106 7.8185
O 4.8003 0.6529 7.7010
O 3.8565 -0.9106 5.9633
O 5.1841 -2.2001 0.6954
O 8.9138 0.6604 1.5472
O 7.5528 -1.2199 0.6268
O 7.3298 -0.6529 3.1070
O 4.7338 -2.2001 3.8985
O 2.8818 -3.1950 5.3794
O 6.3843 -0.6604 6.1411
O 1.9772 -3.1950 8.4025
```